InHg3: calculated powder XRD pattern (Cu Kα (λ = 1.5418 Å)), based on a structure optimized by DFT (GGA-PBE).

Principal peaks in the range 10° ≤ 2θ ≤ 80°, low angle first:
2θ/deg	intensity	hkl
30.79	235	1 0 1
32.17	408	0 4 0
34.85	1000	1 2 1
35.32	478	0 2 2
59.09	221	1 6 1
65.53	215	1 4 3

Structure:
```
data_InHg3
_chemical_formula_sum 'In2 Hg6'
_space_group_name_H-M_alt 'I m m 2'
_space_group_IT_number 44
_cell_length_a 3.3723
_cell_length_b 11.1299
_cell_length_c 5.7131
_cell_angle_alpha 90.00
_cell_angle_beta 90.00
_cell_angle_gamma 90.00
loop_
_space_group_symop_operation_xyz
'x,y,z'
'-x,-y,z'
'-x,y,z'
'x,-y,z'
'x+1/2,y+1/2,z+1/2'
'-x+1/2,-y+1/2,z+1/2'
'-x+1/2,y+1/2,z+1/2'
'x+1/2,-y+1/2,z+1/2'
loop_
_atom_site_label
_atom_site_type_symbol
_atom_site_fract_x
_atom_site_fract_y
_atom_site_fract_z
In1 In 0.0000 0.0000 0.0000
Hg1 Hg 0.0000 0.2502 0.3334
Hg2 Hg 0.0000 0.5000 0.9988
```